# 1
This entry pairs a crystal structure of Sr2TlPb with its calculated XRD peak list. Radiation: λ = 1.5418 Å (Cu Kα). Structure: a PBE-relaxed structure.

Peak list (10 most intense, 10 to 80 degrees two-theta, by intensity)
d [Å], I_rel, (hkl)
2.929, 100, 2 2 0
1.691, 40, 4 2 2
2.071, 19, 4 0 0
4.143, 18, 2 0 0
1.310, 18, 6 2 0
1.465, 13, 4 4 0
1.853, 9, 4 2 0
2.392, 6, 2 2 2
1.381, 4, 6 0 0
1.249, 2, 6 2 2

Cell and atoms:
```
data_Sr2TlPb
_chemical_formula_sum 'Sr8 Tl4 Pb4'
_cell_length_a 8.285
_cell_length_b 8.285
_cell_length_c 8.285
_cell_angle_alpha 90.00
_cell_angle_beta 90.00
_cell_angle_gamma 90.00
_symmetry_space_group_name_H-M 'F m -3 m'
_symmetry_Int_Tables_number 225
_symmetry_space_group_name_Hall '-F 4 2 3'
loop_
_atom_site_label
_atom_site_type_symbol
_atom_site_fract_x
_atom_site_fract_y
_atom_site_fract_z
_atom_site_occupancy
Sr1 Sr 0.250 0.250 0.250 1
Tl1 Tl 0.000 0.000 0.000 1
Pb1 Pb 0.000 0.000 0.500 1
```


# 2
This entry pairs a crystal structure of TbGa2Co3 with its calculated XRD peak list. Radiation: λ = 1.5418 Å (Cu Kα). Structure: a PBE-relaxed structure.

Peak list (10 most intense, 10 to 80 degrees two-theta, by intensity)
d [Å], I_rel, (hkl)
2.148, 100, 3 3 1
2.972, 55, 2 0 1
2.197, 40, 2 6 0
2.536, 29, 3 3 0
2.018, 27, 0 0 2
1.486, 23, 2 6 2
1.377, 14, 3 9 1
1.579, 13, 3 3 2
1.267, 10, 6 6 0
1.536, 10, 1 9 1

Cell and atoms:
```
data_TbGa2Co3
_chemical_formula_sum 'Tb6 Ga12 Co18'
_cell_length_a 8.776
_cell_length_b 15.236
_cell_length_c 4.036
_cell_angle_alpha 90.00
_cell_angle_beta 90.00
_cell_angle_gamma 90.00
_symmetry_space_group_name_H-M 'C m m m'
_symmetry_Int_Tables_number 65
_symmetry_space_group_name_Hall '-C 2 2'
loop_
_atom_site_label
_atom_site_type_symbol
_atom_site_fract_x
_atom_site_fract_y
_atom_site_fract_z
_atom_site_occupancy
Tb1 Tb 0.000 0.000 0.000 1
Tb2 Tb 0.000 0.333 0.000 1
Ga1 Ga 0.000 0.174 0.500 1
Ga2 Ga 0.238 0.413 0.500 1
Co1 Co 0.000 0.500 0.500 1
Co2 Co 0.156 0.500 0.000 1
Co3 Co 0.171 0.172 0.000 1
Co4 Co 0.250 0.250 0.500 1
```


# 3
This entry pairs a crystal structure of TlSb5S8 with its calculated XRD peak list. Radiation: λ = 1.5418 Å (Cu Kα). Structure: a PBE-relaxed structure.

Peak list (10 most intense, 10 to 80 degrees two-theta, by intensity)
d [Å], I_rel, (hkl)
3.579, 100, 1 5 -1
2.990, 58, 2 2 0
3.754, 58, 1 2 1
2.978, 55, 2 2 -4
2.397, 49, 0 7 2
4.268, 49, 1 4 -1
2.829, 47, 2 3 0
3.737, 38, 1 2 -3
1.947, 30, 3 6 -5
1.935, 30, 1 5 3

Cell and atoms:
```
data_TlSb5S8
_chemical_formula_sum 'Tl4 Sb20 S32'
_cell_length_a 8.564
_cell_length_b 19.676
_cell_length_c 12.531
_cell_angle_alpha 90.00
_cell_angle_beta 132.86
_cell_angle_gamma 90.00
_symmetry_space_group_name_H-M 'P 1 c 1'
_symmetry_Int_Tables_number 7
_symmetry_space_group_name_Hall 'P -2yc'
loop_
_atom_site_label
_atom_site_type_symbol
_atom_site_fract_x
_atom_site_fract_y
_atom_site_fract_z
_atom_site_occupancy
Tl1 Tl 0.000 0.049 0.000 1
Tl2 Tl 0.928 0.448 0.729 1
Sb1 Sb 0.196 0.236 0.986 1
Sb2 Sb 0.206 0.271 0.294 1
Sb3 Sb 0.366 0.131 0.793 1
Sb4 Sb 0.427 0.042 0.449 1
Sb5 Sb 0.429 0.456 0.193 1
Sb6 Sb 0.604 0.346 0.031 1
Sb7 Sb 0.621 0.285 0.737 1
Sb8 Sb 0.794 0.214 0.546 1
Sb9 Sb 0.851 0.150 0.267 1
Sb10 Sb 0.995 0.371 0.465 1
S1 S 0.002 0.388 0.272 1
S2 S 0.028 0.040 0.287 1
S3 S 0.182 0.222 0.465 1
S4 S 0.228 0.271 0.814 1
S5 S 0.359 0.416 0.685 1
S6 S 0.402 0.096 0.997 1
S7 S 0.436 0.159 0.336 1
S8 S 0.447 0.463 0.006 1
S9 S 0.462 0.008 0.783 1
S10 S 0.563 0.302 0.196 1
S11 S 0.580 0.332 0.538 1
S12 S 0.794 0.177 0.739 1
S13 S 0.811 0.483 0.414 1
S14 S 0.838 0.208 0.085 1
S15 S 0.980 0.337 0.949 1
S16 S 0.983 0.102 0.583 1
```


# 4
This entry pairs a crystal structure of TaSi2 with its calculated XRD peak list. Radiation: λ = 1.5418 Å (Cu Kα). Structure: a PBE-relaxed structure.

Peak list (10 most intense, 10 to 80 degrees two-theta, by intensity)
d [Å], I_rel, (hkl)
3.521, 100, 1 0 1
2.258, 75, 1 1 1
1.943, 52, 1 1 2
2.587, 45, 1 0 2
2.081, 27, 2 0 0
2.201, 26, 0 0 3
1.512, 20, 2 0 3
1.530, 18, 2 1 1
4.162, 16, 1 0 0
1.279, 15, 3 0 2

Cell and atoms:
```
data_TaSi2
_chemical_formula_sum 'Ta3 Si6'
_cell_length_a 4.8062
_cell_length_b 4.8062
_cell_length_c 6.6041
_cell_angle_alpha 90.00
_cell_angle_beta 90.00
_cell_angle_gamma 120.00
_symmetry_space_group_name_H-M 'P 64 2 2'
_symmetry_Int_Tables_number 181
_symmetry_space_group_name_Hall 'P 64 2 (0 0 2)'
loop_
_atom_site_label
_atom_site_type_symbol
_atom_site_fract_x
_atom_site_fract_y
_atom_site_fract_z
_atom_site_occupancy
Ta1 Ta 0.0000 0.5000 0.3333 1
Si1 Si 0.1591 0.3182 0.0000 1
```


# 5
This entry pairs a crystal structure of Ni3Mo with its calculated XRD peak list. Radiation: λ = 1.5418 Å (Cu Kα). Structure: a PBE-relaxed structure.

Peak list (10 most intense, 10 to 80 degrees two-theta, by intensity)
d [Å], I_rel, (hkl)
1.945, 100, 1 2 1
1.974, 61, 1 0 2
2.118, 46, 2 0 0
2.189, 30, 0 2 1
1.522, 18, 2 2 1
1.280, 16, 0 2 3
2.231, 9, 0 0 2
1.256, 8, 0 4 0
1.536, 5, 2 0 2
3.239, 4, 1 1 0

Cell and atoms:
```
data_Ni3Mo
_chemical_formula_sum 'Ni6 Mo2'
_cell_length_a 4.236
_cell_length_b 5.025
_cell_length_c 4.462
_cell_angle_alpha 90.00
_cell_angle_beta 90.00
_cell_angle_gamma 90.00
_symmetry_space_group_name_H-M 'P m m n'
_symmetry_Int_Tables_number 59
loop_
_symmetry_equiv_pos_as_xyz
'x,y,z'
'-x,-y,-z'
'-x+1/2,-y+1/2,z'
'x+1/2,y+1/2,-z'
'x+1/2,-y,-z'
'-x+1/2,y,z'
'-x,y+1/2,-z'
'x,-y+1/2,z'
loop_
_atom_site_label
_atom_site_type_symbol
_atom_site_fract_x
_atom_site_fract_y
_atom_site_fract_z
_atom_site_occupancy
Ni1 Ni 0.250 0.001 0.159 1
Ni2 Ni 0.250 0.250 0.662 1
Mo1 Mo 0.250 0.750 0.657 1
```


# 6
This entry pairs a crystal structure of Si12Ni31 with its calculated XRD peak list. Radiation: λ = 1.5418 Å (Cu Kα). Structure: a PBE-relaxed structure.

Peak list (10 most intense, 10 to 80 degrees two-theta, by intensity)
d [Å], I_rel, (hkl)
1.975, 100, 1 1 5
1.920, 92, 3 0 0
2.143, 28, 1 2 1
2.100, 25, 0 2 4
1.776, 13, 2 1 4
1.377, 13, 2 2 5
1.213, 11, 3 2 4
2.581, 10, 1 1 3
2.607, 9, 2 0 2
2.051, 9, 1 2 2

Cell and atoms:
```
data_Si12Ni31
_chemical_formula_sum 'Si12 Ni31'
_cell_length_a 6.6493
_cell_length_b 6.6493
_cell_length_c 12.2791
_cell_angle_alpha 90.00
_cell_angle_beta 90.00
_cell_angle_gamma 120.00
_symmetry_space_group_name_H-M 'P 3 2 1'
_symmetry_Int_Tables_number 150
_symmetry_space_group_name_Hall 'P 3 2"'
loop_
_atom_site_label
_atom_site_type_symbol
_atom_site_fract_x
_atom_site_fract_y
_atom_site_fract_z
_atom_site_occupancy
Si1 Si 0.0000 0.0000 0.2096 1
Si2 Si 0.0000 0.3505 0.0000 1
Si3 Si 0.0000 0.6807 0.5000 1
Si4 Si 0.3333 0.6667 0.2733 1
Si5 Si 0.3333 0.6667 0.7754 1
Ni1 Ni 0.0000 0.0000 0.0000 1
Ni2 Ni 0.0000 0.0000 0.4035 1
Ni3 Ni 0.0350 0.3570 0.1945 1
Ni4 Ni 0.0374 0.7020 0.6979 1
Ni5 Ni 0.0631 0.6913 0.9040 1
Ni6 Ni 0.0797 0.4127 0.4046 1
Ni7 Ni 0.3333 0.6667 0.0668 1
Ni8 Ni 0.3333 0.6667 0.5729 1
```


# 7
This entry pairs a crystal structure of Mg4Cu11O15 with its calculated XRD peak list. Radiation: λ = 1.5418 Å (Cu Kα). Structure: a PBE-relaxed structure.

Peak list (10 most intense, 10 to 80 degrees two-theta, by intensity)
d [Å], I_rel, (hkl)
2.261, 100, 0 3 5
2.531, 74, 1 0 5
2.483, 67, 1 3 0
2.020, 56, 2 0 0
1.506, 51, 2 3 5
2.676, 33, 0 2 5
1.574, 22, 0 6 0
1.337, 19, 1 6 5
3.072, 19, 0 1 5
1.242, 18, 2 6 0

Cell and atoms:
```
data_Mg4Cu11O15
_chemical_formula_sum 'Mg8 Cu22 O30'
_cell_length_a 4.040
_cell_length_b 9.444
_cell_length_c 16.241
_cell_angle_alpha 90.00
_cell_angle_beta 90.00
_cell_angle_gamma 90.00
_symmetry_space_group_name_H-M 'P m m 2'
_symmetry_Int_Tables_number 25
_symmetry_space_group_name_Hall 'P 2 -2'
loop_
_atom_site_label
_atom_site_type_symbol
_atom_site_fract_x
_atom_site_fract_y
_atom_site_fract_z
_atom_site_occupancy
Mg1 Mg 0.000 0.000 0.000 1
Mg2 Mg 0.000 0.000 0.199 1
Mg3 Mg 0.000 0.000 0.399 1
Mg4 Mg 0.000 0.000 0.599 1
Mg5 Mg 0.000 0.000 0.800 1
Mg6 Mg 0.500 0.500 0.052 1
Mg7 Mg 0.500 0.500 0.253 1
Mg8 Mg 0.500 0.500 0.653 1
Cu1 Cu 0.000 0.334 0.562 1
Cu2 Cu 0.000 0.334 0.962 1
Cu3 Cu 0.000 0.335 0.361 1
Cu4 Cu 0.000 0.335 0.761 1
Cu5 Cu 0.000 0.336 0.160 1
Cu6 Cu 0.500 0.164 0.491 1
Cu7 Cu 0.500 0.164 0.891 1
Cu8 Cu 0.500 0.165 0.091 1
Cu9 Cu 0.500 0.165 0.289 1
Cu10 Cu 0.500 0.165 0.688 1
Cu11 Cu 0.500 0.500 0.455 1
Cu12 Cu 0.500 0.500 0.855 1
O1 O 0.000 0.154 0.103 1
O2 O 0.000 0.154 0.903 1
O3 O 0.000 0.155 0.303 1
O4 O 0.000 0.155 0.503 1
O5 O 0.000 0.155 0.703 1
O6 O 0.000 0.500 0.030 1
O7 O 0.000 0.500 0.230 1
O8 O 0.000 0.500 0.429 1
O9 O 0.000 0.500 0.630 1
O10 O 0.000 0.500 0.829 1
O11 O 0.500 0.000 0.022 1
O12 O 0.500 0.000 0.220 1
O13 O 0.500 0.000 0.421 1
O14 O 0.500 0.000 0.620 1
O15 O 0.500 0.000 0.821 1
O16 O 0.500 0.341 0.552 1
O17 O 0.500 0.342 0.348 1
O18 O 0.500 0.342 0.748 1
O19 O 0.500 0.342 0.952 1
O20 O 0.500 0.346 0.149 1
```


# 8
This entry pairs a crystal structure of USeO10 with its calculated XRD peak list. Radiation: λ = 1.5418 Å (Cu Kα). Structure: a PBE-relaxed structure.

Peak list (10 most intense, 10 to 80 degrees two-theta, by intensity)
d [Å], I_rel, (hkl)
7.829, 100, 1 1 -1
4.655, 99, 0 2 1
3.724, 66, 3 1 -3
3.323, 54, 3 1 1
5.313, 52, 0 0 2
4.320, 49, 2 2 -1
2.925, 46, 0 2 3
5.173, 40, 0 2 0
2.830, 38, 3 3 -2
4.465, 32, 3 1 -2

Cell and atoms:
```
data_USeO10
_chemical_formula_sum 'U8 Se8 O80'
_cell_length_a 15.820
_cell_length_b 10.346
_cell_length_c 12.533
_cell_angle_alpha 90.00
_cell_angle_beta 122.02
_cell_angle_gamma 90.00
_symmetry_space_group_name_H-M 'C 1 2/c 1'
_symmetry_Int_Tables_number 15
_symmetry_space_group_name_Hall '-C 2yc'
loop_
_atom_site_label
_atom_site_type_symbol
_atom_site_fract_x
_atom_site_fract_y
_atom_site_fract_z
_atom_site_occupancy
U1 U 0.178 0.158 0.247 1
Se1 Se 0.075 0.303 0.435 1
O1 O 0.003 0.200 0.801 1
O2 O 0.005 0.176 0.114 1
O3 O 0.017 0.441 0.409 1
O4 O 0.114 0.371 0.776 1
O5 O 0.123 0.360 0.878 1
O6 O 0.135 0.299 0.356 1
O7 O 0.158 0.276 0.589 1
O8 O 0.178 0.054 0.123 1
O9 O 0.184 0.038 0.357 1
O10 O 0.191 0.296 0.167 1
```


# 9
This entry pairs a crystal structure of HoMgHg2 with its calculated XRD peak list. Radiation: λ = 1.5418 Å (Cu Kα). Structure: a PBE-relaxed structure.

Peak list (10 most intense, 10 to 80 degrees two-theta, by intensity)
d [Å], I_rel, (hkl)
2.535, 100, 2 2 0
1.464, 37, 4 2 2
1.793, 18, 4 0 0
3.586, 16, 2 0 0
4.140, 13, 1 1 1
1.268, 12, 4 4 0
2.162, 7, 3 1 1
1.603, 7, 4 2 0
2.070, 5, 2 2 2
1.645, 3, 3 3 1

Cell and atoms:
```
data_HoMgHg2
_chemical_formula_sum 'Ho4 Mg4 Hg8'
_cell_length_a 7.171
_cell_length_b 7.171
_cell_length_c 7.171
_cell_angle_alpha 90.00
_cell_angle_beta 90.00
_cell_angle_gamma 90.00
_symmetry_space_group_name_H-M 'F m -3 m'
_symmetry_Int_Tables_number 225
_symmetry_space_group_name_Hall '-F 4 2 3'
loop_
_atom_site_label
_atom_site_type_symbol
_atom_site_fract_x
_atom_site_fract_y
_atom_site_fract_z
_atom_site_occupancy
Ho1 Ho 0.000 0.000 0.000 1
Mg1 Mg 0.000 0.000 0.500 1
Hg1 Hg 0.250 0.250 0.250 1
```